For Mn2CdTeO6, a GGA+U-relaxed structure gives the simulated powder diffraction line list in this record (CuKα).
No peak broadening, texture or thermal motion is included.

The 6 most intense peaks (10° ≤ 2θ ≤ 80°), most intense first:
34.2°, I = 100.0, (-1 1 2)
31.0°, I = 75.2, (1 -2 0)
27.8°, I = 63.2, (0 2 0)
28.0°, I = 53.4, (2 0 0)
34.3°, I = 52.4, (1 2 -1)
31.3°, I = 52.3, (2 0 -1)

Cell and atoms:
```
data_Mn2CdTeO6
_chemical_formula_sum 'Mn4 Cd2 Te2 O12'
_cell_length_a 6.383
_cell_length_b 6.425
_cell_length_c 6.429
_cell_angle_alpha 90.43
_cell_angle_beta 90.05
_cell_angle_gamma 90.88
_space_group_name_H-M_alt 'P 1'
_space_group_IT_number 1
loop_
_space_group_symop_operation_xyz
'x,y,z'
loop_
_atom_site_label
_atom_site_fract_x
_atom_site_fract_y
_atom_site_fract_z
Mn1 0.000 0.000 0.000
Mn2 0.185 0.517 0.305
Mn3 0.496 0.123 0.105
Mn4 0.696 0.815 0.490
Cd1 0.309 0.606 0.803
Cd2 0.797 0.308 0.619
Te1 0.247 0.056 0.547
Te2 0.748 0.566 0.060
O1 0.042 0.652 0.021
O2 0.178 0.350 0.597
O3 0.183 0.114 0.255
O4 0.312 0.011 0.842
O5 0.321 0.766 0.486
O6 0.457 0.473 0.110
O7 0.540 0.117 0.471
O8 0.673 0.614 0.768
O9 0.700 0.858 0.134
O10 0.797 0.272 0.987
O11 0.832 0.533 0.350
O12 0.957 0.983 0.625
```